Starting from a crystal structure in Alexandria, relaxed with PBE, the PXRD pattern of SrLi2Tl2Cd2 was computed for Cu Kα X-rays.

Principal peaks in the range 10 to 90 degrees two-theta, sorted by position:
2θ 21.7, I 34.6; 2θ 22.4, I 81.5; 2θ 25.3, I 37.4; 2θ 31.9, I 54.2; 2θ 34.5, I 94.8; 2θ 37.6, I 100.0; 2θ 40.2, I 34.8; 2θ 51.9, I 29.7

Structure:
Cell lengths 9.307, 9.307, 9.307 Å; angles 29.82, 29.82, 29.82 degrees
Element x y z (fractional)
Sr (0.000, 0.000, 0.000)
Li (0.444, 0.444, 0.444)
Li (0.556, 0.556, 0.556)
Tl (0.256, 0.256, 0.256)
Tl (0.744, 0.744, 0.744)
Cd (0.139, 0.139, 0.139)
Cd (0.861, 0.861, 0.861)


Starting from a crystal structure in Alexandria, relaxed with PBE, the PXRD pattern of Be2FePd6 was computed for Cu Kα X-rays.

Principal peaks in the range 10 to 90 degrees two-theta, sorted by position:
2θ 32.8, I 44.8; 2θ 36.0, I 19.7; 2θ 41.8, I 100.0; 2θ 44.9, I 25.1; 2θ 45.4, I 22.1; 2θ 65.7, I 14.2; 2θ 80.6, I 14.0; 2θ 81.3, I 13.1

Structure:
Cell lengths 7.804, 6.329, 5.386 Å; angles 83.12, 53.63, 43.25 degrees
Element x y z (fractional)
Be (0.162, 0.162, 0.838)
Be (0.838, 0.838, 0.162)
Fe (0.500, 0.500, 0.500)
Pd (0.152, 0.848, 0.152)
Pd (0.184, 0.472, 0.528)
Pd (0.472, 0.184, 0.816)
Pd (0.528, 0.816, 0.184)
Pd (0.816, 0.528, 0.472)
Pd (0.848, 0.152, 0.848)


Starting from a crystal structure in Alexandria, relaxed with PBE, the PXRD pattern of Rb12Sn2Bi6O was computed for Cu Kα X-rays.

Principal peaks in the range 10 to 90 degrees two-theta, sorted by position:
2θ 15.8, I 31.4; 2θ 24.1, I 14.3; 2θ 27.5, I 30.7; 2θ 27.8, I 100.0; 2θ 42.4, I 21.6; 2θ 48.8, I 19.4; 2θ 51.3, I 23.1; 2θ 51.5, I 13.7

Structure:
Cell lengths 12.787, 12.787, 6.487 Å; angles 90.00, 90.00, 120.00 degrees
Element x y z (fractional)
Rb (0.093, 0.546, 0.251)
Rb (0.110, 0.220, 0.220)
Rb (0.110, 0.890, 0.220)
Rb (0.220, 0.110, 0.780)
Rb (0.454, 0.546, 0.251)
Rb (0.454, 0.907, 0.251)
Rb (0.546, 0.093, 0.749)
Rb (0.546, 0.454, 0.749)
Rb (0.780, 0.890, 0.220)
Rb (0.890, 0.110, 0.780)
Rb (0.890, 0.780, 0.780)
Rb (0.907, 0.454, 0.749)
Sn (0.333, 0.667, 0.747)
Sn (0.667, 0.333, 0.253)
Bi (0.205, 0.410, 0.736)
Bi (0.205, 0.795, 0.736)
Bi (0.410, 0.205, 0.264)
Bi (0.590, 0.795, 0.736)
Bi (0.795, 0.205, 0.264)
Bi (0.795, 0.590, 0.264)
O (0.000, 0.000, 0.000)


Starting from a crystal structure in Alexandria, relaxed with PBE, the PXRD pattern of Li3U3AgS8 was computed for Cu Kα X-rays.

Principal peaks in the range 10 to 90 degrees two-theta, sorted by position:
2θ 14.3, I 100.0; 2θ 27.2, I 71.0; 2θ 28.4, I 28.8; 2θ 33.0, I 79.3; 2θ 36.2, I 32.9; 2θ 47.2, I 28.5; 2θ 47.6, I 27.9; 2θ 49.6, I 27.7

Structure:
Cell lengths 7.637, 7.637, 7.637 Å; angles 60.53, 60.53, 60.53 degrees
Element x y z (fractional)
Li (0.000, 0.500, 0.500)
Li (0.500, 0.000, 0.500)
Li (0.500, 0.500, 0.000)
U (0.000, 0.000, 0.500)
U (0.000, 0.500, 0.000)
U (0.500, 0.000, 0.000)
Ag (0.500, 0.500, 0.500)
S (0.237, 0.755, 0.755)
S (0.245, 0.245, 0.763)
S (0.245, 0.763, 0.245)
S (0.253, 0.253, 0.253)
S (0.747, 0.747, 0.747)
S (0.755, 0.237, 0.755)
S (0.755, 0.755, 0.237)
S (0.763, 0.245, 0.245)


Number 2 is which compound?
Be2FePd6